1.
Starting from a PBE-relaxed structure, the powder XRD pattern of Ga2AgGe2 was calculated for copper Kα.
Intensities are scaled so that the largest is 100.

Atomic structure:
```
Ga2AgGe2
1.0
-2.234 2.234 5.191
2.234 -2.234 5.191
2.234 2.234 -5.191
Ga Ag Ge
2 1 2
Cartesian
2.234 0.000 2.596 Ga
0.000 2.234 2.596 Ga
0.000 0.000 0.000 Ag
0.000 0.000 3.974 Ge
0.000 0.000 6.409 Ge
```

Principal peaks in the range 2θ from 10° to 90°, by angle:
d [Å], I_rel
3.159, 14
2.736, 57
2.699, 100
2.234, 65
2.006, 19
1.883, 26
1.730, 28
1.580, 21
1.440, 21
1.363, 22


2.
Starting from a PBE-relaxed structure, the powder XRD pattern of HoAl10Rh2 was calculated for copper Kα.
Intensities are scaled so that the largest is 100.

Atomic structure:
```
HoAl10Rh2
1.0
4.520 -5.127 0.000
4.520 5.127 0.000
0.000 0.000 9.151
Ho Al Rh
2 20 4
Cartesian
4.520 3.814 6.864 Ho
4.520 -3.814 2.288 Ho
2.479 1.352 6.864 Al
4.520 3.565 0.930 Al
4.520 3.565 3.646 Al
1.996 0.000 0.000 Al
1.996 0.000 4.576 Al
3.185 1.311 2.288 Al
4.520 1.253 5.046 Al
4.520 1.253 8.681 Al
2.479 -1.352 2.288 Al
3.185 -1.311 6.864 Al
5.856 1.311 2.288 Al
6.561 1.352 6.864 Al
4.520 -1.253 0.471 Al
4.520 -1.253 4.105 Al
5.856 -1.311 6.864 Al
7.044 0.000 0.000 Al
7.044 0.000 4.576 Al
4.520 -3.565 5.506 Al
4.520 -3.565 8.221 Al
6.561 -1.352 2.288 Al
2.260 2.563 0.000 Rh
2.260 2.563 4.576 Rh
2.260 -2.563 0.000 Rh
2.260 -2.563 4.576 Rh
```

Principal peaks in the range 2θ from 10° to 90°, by angle:
d [Å], I_rel
5.448, 54
5.127, 62
3.216, 100
3.179, 49
2.621, 59
2.288, 56
2.268, 72
2.260, 78
2.236, 94
2.230, 84


3.
Starting from a PBE-relaxed structure, the powder XRD pattern of AcB4Pt3O12 was calculated for copper Kα.
Intensities are scaled so that the largest is 100.

Atomic structure:
```
AcB4Pt3O12
1.0
4.941 2.853 2.780
-4.941 2.853 2.780
0.000 -5.705 2.780
Ac B Pt O
1 4 3 12
Cartesian
0.000 0.000 0.000 Ac
-2.210 -3.828 4.170 B
0.000 0.000 4.170 B
-2.210 3.828 4.170 B
4.420 0.000 4.170 B
-2.708 -1.014 2.780 Pt
2.232 -1.839 2.780 Pt
0.476 2.853 2.780 Pt
-2.960 -2.698 4.022 O
-4.032 0.000 4.170 O
-0.857 -3.913 4.317 O
-1.395 0.000 4.170 O
-2.960 2.698 4.317 O
2.016 -3.492 4.170 O
0.697 -1.208 4.170 O
-0.857 3.913 4.022 O
0.697 1.208 4.170 O
3.817 -1.215 4.022 O
2.016 3.492 4.170 O
3.817 1.215 4.317 O
```

Principal peaks in the range 2θ from 10° to 90°, by angle:
d [Å], I_rel
4.941, 19
3.807, 100
3.016, 16
2.986, 83
2.470, 25
2.283, 12
2.072, 14
2.063, 20
1.874, 21
1.847, 26


4.
Starting from a PBE-relaxed structure, the powder XRD pattern of Tb2PuSi4Pt3 was calculated for copper Kα.
Intensities are scaled so that the largest is 100.

Atomic structure:
```
Tb2PuSi4Pt3
1.0
4.189 0.000 0.000
0.000 4.189 0.000
0.000 0.000 11.024
Tb Pu Si Pt
2 1 4 3
Cartesian
0.000 2.095 2.542 Tb
2.095 0.000 8.482 Tb
0.000 0.000 5.512 Pu
0.000 0.000 0.000 Si
0.000 2.095 7.399 Si
2.095 0.000 3.625 Si
2.095 2.095 0.000 Si
0.000 2.095 9.791 Pt
2.095 0.000 1.232 Pt
2.095 2.095 5.512 Pt
```

Principal peaks in the range 2θ from 10° to 90°, by angle:
d [Å], I_rel
3.675, 40
2.861, 100
2.762, 85
2.609, 100
2.095, 71
2.018, 29
1.820, 24
1.669, 42
1.561, 27
1.481, 24


5.
Starting from a PBE-relaxed structure, the powder XRD pattern of ZnCd2Te2 was calculated for copper Kα.
Intensities are scaled so that the largest is 100.

Atomic structure:
```
ZnCd2Te2
1.0
8.243 0.000 0.000
0.000 8.243 0.000
0.000 0.000 4.418
Zn Cd Te
2 4 4
Cartesian
0.000 0.000 0.000 Zn
4.122 4.122 0.000 Zn
0.966 3.156 2.209 Cd
3.156 7.277 2.209 Cd
5.088 0.966 2.209 Cd
7.277 5.088 2.209 Cd
1.841 5.963 0.000 Te
2.280 1.841 0.000 Te
5.963 6.402 0.000 Te
6.402 2.280 0.000 Te
```

Principal peaks in the range 2θ from 10° to 90°, by angle:
d [Å], I_rel
4.122, 24
3.521, 59
3.014, 37
2.914, 43
2.831, 100
2.607, 27
2.433, 50
2.286, 32
2.209, 34
1.868, 64


6.
Starting from a PBE-relaxed structure, the powder XRD pattern of AgHPd3 was calculated for copper Kα.
Intensities are scaled so that the largest is 100.

Atomic structure:
```
AgHPd3
1.0
5.035 -2.822 0.000
5.035 2.822 0.000
-1.854 0.000 4.668
Ag H Pd
2 2 6
Cartesian
0.000 0.000 0.000 Ag
5.035 0.000 0.000 Ag
0.158 0.000 3.261 H
5.203 0.000 3.277 H
0.690 1.410 4.643 Pd
4.138 1.411 2.319 Pd
1.680 0.000 2.274 Pd
0.690 -1.410 4.643 Pd
4.138 -1.411 2.319 Pd
6.715 0.000 2.273 Pd
```

Principal peaks in the range 2θ from 10° to 90°, by angle:
d [Å], I_rel
2.337, 100
2.334, 33
2.080, 23
1.996, 42
1.442, 14
1.439, 14
1.412, 13
1.244, 12
1.209, 15
1.208, 15


7.
Starting from a PBE-relaxed structure, the powder XRD pattern of KHgF4 was calculated for copper Kα.
Intensities are scaled so that the largest is 100.

Atomic structure:
```
KHgF4
1.0
3.928 -5.650 0.000
3.928 5.650 0.000
-3.902 0.000 4.808
K Hg F
2 2 8
Cartesian
1.001 4.235 3.606 K
2.952 -4.235 1.202 K
2.952 1.398 1.202 Hg
1.001 -1.398 3.606 Hg
1.413 2.823 1.323 F
-0.545 0.026 3.499 F
1.406 -0.026 1.095 F
4.491 2.823 1.081 F
-0.538 -2.823 3.727 F
2.547 0.026 3.713 F
4.498 -0.026 1.309 F
2.540 -2.823 3.484 F
```

Principal peaks in the range 2θ from 10° to 90°, by angle:
d [Å], I_rel
5.357, 100
3.662, 82
3.225, 61
3.202, 20
3.050, 14
2.404, 23
2.072, 27
2.067, 27
1.931, 14
1.923, 14


8.
Starting from a PBE-relaxed structure, the powder XRD pattern of CaEr2AgHg4 was calculated for copper Kα.
Intensities are scaled so that the largest is 100.

Atomic structure:
```
CaEr2AgHg4
1.0
2.557 1.477 8.463
-2.557 1.477 8.463
0.000 -2.953 8.463
Ca Er Ag Hg
1 2 1 4
Cartesian
0.000 0.000 0.000 Ca
0.000 0.000 6.202 Er
0.000 0.000 19.186 Er
0.000 0.000 12.694 Ag
0.000 0.000 3.156 Hg
0.000 0.000 9.514 Hg
0.000 0.000 15.874 Hg
0.000 0.000 22.232 Hg
```

Principal peaks in the range 2θ from 10° to 90°, by angle:
d [Å], I_rel
3.632, 15
2.580, 100
2.557, 100
1.816, 35
1.494, 18
1.481, 36
1.477, 18
1.279, 12
1.152, 16
1.146, 16


9.
Starting from a PBE-relaxed structure, the powder XRD pattern of Li2BeCl4 was calculated for copper Kα.
Intensities are scaled so that the largest is 100.

Atomic structure:
```
Li2BeCl4
1.0
-2.943 2.943 5.250
2.943 -2.943 5.250
2.943 2.943 -5.250
Li Be Cl
2 1 4
Cartesian
2.943 0.000 0.000 Li
0.000 2.943 0.000 Li
0.000 0.000 0.000 Be
1.202 1.202 -1.129 Cl
1.741 -1.741 6.378 Cl
1.741 1.741 4.121 Cl
-1.741 1.741 6.378 Cl
```

Principal peaks in the range 2θ from 10° to 90°, by angle:
d [Å], I_rel
5.250, 13
5.134, 31
3.261, 100
2.943, 24
2.625, 10
2.553, 15
2.104, 15
1.959, 18
1.754, 12
1.613, 14


10.
Starting from a PBE-relaxed structure, the powder XRD pattern of NbNi12B5 was calculated for copper Kα.
Intensities are scaled so that the largest is 100.

Atomic structure:
```
NbNi12B5
1.0
-3.387 3.414 3.819
3.387 -3.414 3.819
3.387 3.414 -3.819
Nb Ni B
1 12 5
Cartesian
0.000 0.000 0.000 Nb
3.387 -1.255 2.465 Ni
2.143 1.479 0.000 Ni
4.631 1.479 0.000 Ni
2.144 3.414 -1.681 Ni
1.243 0.000 2.138 Ni
0.000 2.159 1.353 Ni
3.387 1.255 2.465 Ni
2.144 3.414 1.681 Ni
1.243 0.000 5.499 Ni
-1.244 1.935 3.819 Ni
1.244 1.935 3.819 Ni
0.000 4.669 1.353 Ni
3.387 0.000 0.874 B
0.967 3.414 0.000 B
0.000 0.000 3.819 B
2.421 0.000 3.819 B
0.000 3.414 2.944 B
```

Principal peaks in the range 2θ from 10° to 90°, by angle:
d [Å], I_rel
2.545, 22
2.385, 49
2.166, 48
2.158, 52
2.035, 100
1.954, 59
1.870, 57
1.834, 30
1.129, 24
1.117, 22


What did the fourth record say?
Starting from a PBE-relaxed structure, the powder XRD pattern of Tb2PuSi4Pt3 was calculated for copper Kα.
Intensities are scaled so that the largest is 100.

Atomic structure:
```
Tb2PuSi4Pt3
1.0
4.189 0.000 0.000
0.000 4.189 0.000
0.000 0.000 11.024
Tb Pu Si Pt
2 1 4 3
Cartesian
0.000 2.095 2.542 Tb
2.095 0.000 8.482 Tb
0.000 0.000 5.512 Pu
0.000 0.000 0.000 Si
0.000 2.095 7.399 Si
2.095 0.000 3.625 Si
2.095 2.095 0.000 Si
0.000 2.095 9.791 Pt
2.095 0.000 1.232 Pt
2.095 2.095 5.512 Pt
```

Principal peaks in the range 2θ from 10° to 90°, by angle:
d [Å], I_rel
3.675, 40
2.861, 100
2.762, 85
2.609, 100
2.095, 71
2.018, 29
1.820, 24
1.669, 42
1.561, 27
1.481, 24